# NbAsPtO
Theoretical powder diffractogram, Cu Kα, 1.54184 Å. Input: the PBE geometry in OQMD.

Structure:
a b c (Å): 3.6175 6.1853 6.2809
angles (deg): 90.00 90.00 90.00
Element x y z (fractional)
Nb 0.0000 0.1277 0.0000
Nb 0.0000 0.8723 0.5000
As 0.0000 0.2784 0.3974
As 0.0000 0.7216 0.8974
Pt 0.5000 0.2125 0.6582
Pt 0.5000 0.7875 0.1582
O 0.5000 0.2676 0.9925
O 0.5000 0.7324 0.4925

Peak list (12 most intense, 2θ from 15° to 90°, most intense first)
- 32.01 deg, I = 100.0, (1 1 1)
- 37.94 deg, I = 56.8, (1 0 2)
- 20.15 deg, I = 52.9, (0 1 1)
- 28.87 deg, I = 43.7, (0 2 0)
- 40.99 deg, I = 34.8, (1 2 1)
- 48.37 deg, I = 34.6, (1 2 2)
- 45.75 deg, I = 31.7, (0 1 3)
- 50.46 deg, I = 19.3, (2 0 0)
- 53.16 deg, I = 18.8, (1 3 1)
- 70.46 deg, I = 17.1, (2 1 3)
- 46.35 deg, I = 13.9, (0 3 1)
- 52.65 deg, I = 12.4, (1 1 3)